The following is a simulated powder X-ray diffraction pattern of CaGd2O4. It was derived from a crystal structure in Alexandria, relaxed with PBE, using λ = 1.5418 Å (Cu Kα).
Intensities are scaled so that the largest is 100.

Structure:
a b c (Å): 6.926 6.926 6.926
angles (deg): 60.00 60.00 60.00
Fractional positions:
Ca  0.125  0.125  0.125
Ca  0.875  0.875  0.875
Gd  0.000  0.500  0.500
Gd  0.500  0.000  0.500
Gd  0.500  0.500  0.000
Gd  0.500  0.500  0.500
O  0.262  0.262  0.262
O  0.262  0.262  0.714
O  0.262  0.714  0.262
O  0.286  0.738  0.738
O  0.714  0.262  0.262
O  0.738  0.286  0.738
O  0.738  0.738  0.286
O  0.738  0.738  0.738

The 8 most intense peaks (10 to 80 degrees two-theta), by angle:
| two_theta | I/Imax |
| --- | --- |
| 15.67 | 84 |
| 30.27 | 100 |
| 31.65 | 53 |
| 36.70 | 49 |
| 48.28 | 40 |
| 52.88 | 51 |
| 62.95 | 26 |
| 74.40 | 21 |